Entry 1:
Computed powder diffraction line list
Compound: LaHoTlPb
Radiation: Cu Kα (λ = 1.5418 Å)
Structure: DFT lattice parameters and positions (PBE)
Intensities are scaled so that the largest is 100.

Structural model:
Cell: 5.129 5.129 8.951 Å, 90.00 90.00 90.00°
Space group I-4m2 (No. 119)
Symmetry-distinct sites (fractional):
La  0.000  0.000  0.000 x2
Ho  0.000  0.000  0.500 x2
Tl  0.000  0.500  0.250 x2
Pb  0.000  0.500  0.750 x2

Peak list (12 most intense, 10 to 90 degrees two-theta, sorted by position)
2θ (°)  I (rel.)  (hkl)
31.76  100  1 1 2
34.99  39  2 0 0
40.30  13  0 0 4
50.32  14  2 2 0
54.42  22  2 0 4
60.74  32  3 1 2
66.35  12  2 2 4
67.94  11  1 1 6
82.69  7  3 3 2
84.47  7  4 2 0
87.73  6  4 0 4
89.20  12  3 1 6

Entry 2:
Computed powder diffraction line list
Compound: Y2PaPd9
Radiation: Cu Kα (λ = 1.5418 Å)
Structure: DFT lattice parameters and positions (PBE)
Intensities are scaled so that the largest is 100.

Structural model:
Cell: 4.137 4.137 12.398 Å, 90.00 90.00 90.00°
Space group P4/mmm (No. 123)
Symmetry-distinct sites (fractional):
Y  0.000  0.000  0.162 x2
Pa  0.000  0.000  0.500 x1
Pd  0.000  0.500  0.000 x2
Pd  0.000  0.500  0.339 x4
Pd  0.500  0.500  0.169 x2
Pd  0.500  0.500  0.500 x1

Peak list (12 most intense, 10 to 90 degrees two-theta, sorted by position)
2θ (°)  I (rel.)  (hkl)
14.29  4  0 0 2
22.66  3  1 0 1
25.89  3  1 0 2
31.42  1  1 1 1
37.68  100  1 1 3
42.50  2  1 1 4
43.78  49  2 0 0
48.11  1  1 1 5
51.57  1  0 0 7
63.65  31  2 2 0
76.39  36  3 1 3
80.45  11  2 2 6

Entry 3:
Computed powder diffraction line list
Compound: Pm3PrAu4
Radiation: Cu Kα (λ = 1.5418 Å)
Structure: DFT lattice parameters and positions (PBE)
Intensities are scaled so that the largest is 100.

Structural model:
Cell: 7.420 7.420 7.420 Å, 90.00 90.00 90.00°
Space group Im-3m (No. 229)
Symmetry-distinct sites (fractional):
Pm  0.000  0.000  0.500 x6
Pr  0.000  0.000  0.000 x2
Au  0.250  0.250  0.250 x8

Peak list (9 most intense, 10 to 90 degrees two-theta, sorted by position)
2θ (°)  I (rel.)  (hkl)
23.99  3  2 0 0
34.18  100  2 2 0
42.19  1  2 2 2
49.12  18  4 0 0
55.38  1  4 2 0
61.20  38  4 2 2
72.00  12  4 4 0
77.13  1  6 0 0
82.16  17  6 2 0

Entry 4:
Computed powder diffraction line list
Compound: LaDyBiO2
Radiation: Cu Kα (λ = 1.5418 Å)
Structure: DFT lattice parameters and positions (PBE)
Intensities are scaled so that the largest is 100.

Structural model:
Cell: 3.982 3.982 13.967 Å, 90.00 90.00 90.00°
Space group I4mm (No. 107)
Symmetry-distinct sites (fractional):
La  0.000  0.000  0.000 x2
Dy  0.000  0.000  0.667 x2
Bi  0.000  0.000  0.329 x2
O  0.000  0.500  0.091 x4

Peak list (12 most intense, 10 to 90 degrees two-theta, sorted by position)
2θ (°)  I (rel.)  (hkl)
29.52  100  1 0 3
31.78  36  1 1 0
38.68  11  0 0 6
45.56  17  2 0 0
50.90  25  1 1 6
55.23  35  2 1 3
61.27  12  2 0 6
64.44  11  1 0 9
74.31  7  3 0 3
75.51  6  3 1 0
82.44  11  2 1 9
88.23  11  3 1 6